Starting from DFT lattice parameters and positions (PBE+U), the powder diffractogram of Li2VSnF8 was computed for Cu Kα X-rays.

Structural model:
```
data_Li2VSnF8
_cell_length_a 4.759
_cell_length_b 4.759
_cell_length_c 6.647
_cell_angle_alpha 90.00
_cell_angle_beta 90.00
_cell_angle_gamma 90.65
_symmetry_space_group_name_H-M 'P 1'
_symmetry_Int_Tables_number 1
_symmetry_space_group_name_Hall 'P 1'
loop_
_atom_site_label
_atom_site_type_symbol
_atom_site_fract_x
_atom_site_fract_y
_atom_site_fract_z
Li1 Li 0.000 0.000 0.235
Li2 Li 0.000 0.000 0.765
V1 V 0.500 0.500 0.000
Sn1 Sn 0.500 0.500 0.500
F1 F 0.186 0.186 0.500
F2 F 0.211 0.211 0.000
F3 F 0.304 0.696 0.227
F4 F 0.304 0.696 0.773
F5 F 0.696 0.304 0.227
F6 F 0.696 0.304 0.773
F7 F 0.789 0.789 0.000
F8 F 0.814 0.814 0.500
```

The 10 most intense peaks (2θ from 15° to 90°), by angle:
18.64°, I = 100
26.33°, I = 33
26.64°, I = 32
26.82°, I = 21
32.87°, I = 32
37.94°, I = 56
42.67°, I = 27
50.77°, I = 25
51.13°, I = 25
65.16°, I = 20